Starting from a PBE-relaxed structure, the X-ray diffraction stick pattern of TbSi2Pd2 was simulated for Cu Kα (weighted mean of Kα1 and Kα2).
Peak positions follow from Bragg's law for the DFT cell and can differ from measured ones.

Crystal structure
a b c (Å): 4.1641 4.1641 9.9823
angles (deg): 90.00 90.00 90.00
Atoms (fractional coordinates):
Tb 0.0000 0.0000 0.0000
Tb 0.5000 0.5000 0.5000
Si 0.0000 0.0000 0.3834
Si 0.0000 0.0000 0.6166
Si 0.5000 0.5000 0.1166
Si 0.5000 0.5000 0.8834
Pd 0.0000 0.5000 0.2500
Pd 0.0000 0.5000 0.7500
Pd 0.5000 0.0000 0.2500
Pd 0.5000 0.0000 0.7500

Main lines, sorted by position (10 to 80 degrees two-theta):
d 3.843, I = 26; d 2.599, I = 27; d 2.536, I = 100; d 2.496, I = 17; d 2.082, I = 36; d 1.625, I = 13; d 1.599, I = 17; d 1.472, I = 12; d 1.448, I = 15; d 1.273, I = 22

Starting from a PBE-relaxed structure, the X-ray diffraction stick pattern of Rb2NbTlF6 was simulated for Cu Kα (weighted mean of Kα1 and Kα2).
Peak positions follow from Bragg's law for the DFT cell and can differ from measured ones.

Crystal structure
a b c (Å): 6.7382 6.7382 6.7382
angles (deg): 60.00 60.00 60.00
Atoms (fractional coordinates):
Rb 0.2500 0.2500 0.2500
Rb 0.7500 0.7500 0.7500
Nb 0.0000 0.0000 0.0000
Tl 0.5000 0.5000 0.5000
F 0.2210 0.2210 0.7790
F 0.2210 0.7790 0.2210
F 0.2210 0.7790 0.7790
F 0.7790 0.2210 0.2210
F 0.7790 0.2210 0.7790
F 0.7790 0.7790 0.2210

Main lines, sorted by position (10 to 80 degrees two-theta):
d 4.765, I = 17; d 3.369, I = 100; d 2.873, I = 8; d 2.382, I = 34; d 2.131, I = 7; d 1.945, I = 41; d 1.685, I = 22; d 1.507, I = 21; d 1.375, I = 7; d 1.273, I = 23